(1)
Starting from the GGA-PBE geometry in the Materials Project, the powder XRD pattern of EuAl3B4O12 was calculated for Cu Ka.
Kinematic intensities with the Lorentz-polarization factor, no thermal factor.

Principal peaks in the range 2θ = 10–90°, sorted by position:
2θ (°)  d [Å]  I_rel
16.20  5.471  81.0
18.91  4.692  49.6
25.00  3.562  65.2
26.47  3.367  28.6
31.54  2.837  43.6
32.74  2.736  100.0
38.08  2.363  44.5
41.36  2.183  25.8
41.90  2.156  37.5
53.94  1.700  27.8

a = 5.953 Å, b = 5.953 Å, c = 5.953 Å
α = 104.03°, β = 104.03°, γ = 104.03°
Atoms (fractional coordinates):
Eu (0.000, 0.000, 0.000)
Al (0.000, 0.443, 0.557)
Al (0.443, 0.557, 0.000)
Al (0.557, 0.000, 0.443)
B (0.059, 0.941, 0.500)
B (0.500, 0.059, 0.941)
B (0.500, 0.500, 0.500)
B (0.941, 0.500, 0.059)
O (0.028, 0.773, 0.621)
O (0.090, 0.500, 0.910)
O (0.227, 0.972, 0.379)
O (0.351, 0.500, 0.649)
O (0.379, 0.227, 0.972)
O (0.500, 0.649, 0.351)
O (0.500, 0.910, 0.090)
O (0.621, 0.028, 0.773)
O (0.649, 0.351, 0.500)
O (0.773, 0.621, 0.028)
O (0.910, 0.090, 0.500)
O (0.972, 0.379, 0.227)


(2)
Starting from the GGA-PBE geometry in the Materials Project, the powder XRD pattern of EuYAl6B8O24 was calculated for Cu Ka.
Kinematic intensities with the Lorentz-polarization factor, no thermal factor.

Principal peaks in the range 2θ = 10–90°, sorted by position:
2θ (°)  d [Å]  I_rel
16.29  5.441  57.9
18.95  4.682  35.1
25.09  3.549  55.4
26.67  3.343  20.3
31.63  2.828  35.5
32.92  2.721  100.0
38.26  2.352  36.9
42.01  2.151  32.3
47.41  1.918  23.3
54.23  1.691  26.9

a = 5.934 Å, b = 5.934 Å, c = 11.178 Å
α = 98.07°, β = 98.07°, γ = 104.15°
Atoms (fractional coordinates):
Eu (0.000, 0.000, 0.000)
Y (0.499, 0.501, 0.500)
Al (0.222, 0.667, 0.223)
Al (0.333, 0.778, 0.777)
Al (0.442, 0.558, 0.000)
Al (0.721, 0.168, 0.722)
Al (0.832, 0.279, 0.278)
Al (0.943, 0.057, 0.500)
B (0.028, 0.587, 0.529)
B (0.249, 0.251, 0.750)
B (0.307, 0.193, 0.251)
B (0.413, 0.972, 0.471)
B (0.528, 0.088, 0.029)
B (0.749, 0.751, 0.250)
B (0.807, 0.693, 0.749)
B (0.912, 0.472, 0.971)
O (0.026, 0.177, 0.675)
O (0.035, 0.781, 0.809)
O (0.135, 0.546, 0.045)
O (0.158, 0.341, 0.250)
O (0.219, 0.965, 0.191)
O (0.238, 0.640, 0.610)
O (0.263, 0.114, 0.486)
O (0.323, 0.474, 0.824)
O (0.360, 0.762, 0.390)
O (0.391, 0.242, 0.014)
O (0.397, 0.102, 0.750)
O (0.454, 0.865, 0.955)
O (0.526, 0.677, 0.176)
O (0.535, 0.288, 0.315)
O (0.636, 0.046, 0.545)
O (0.659, 0.842, 0.750)
O (0.712, 0.465, 0.685)
O (0.733, 0.143, 0.114)
O (0.758, 0.609, 0.986)
O (0.823, 0.974, 0.325)
O (0.857, 0.267, 0.886)
O (0.886, 0.737, 0.514)
O (0.898, 0.603, 0.250)
O (0.954, 0.364, 0.455)


(3)
Starting from the GGA-PBE geometry in the Materials Project, the powder XRD pattern of Na4Al3Si3BO12F4 was calculated for Cu Ka.
Kinematic intensities with the Lorentz-polarization factor, no thermal factor.

Principal peaks in the range 2θ = 10–90°, sorted by position:
2θ (°)  d [Å]  I_rel
13.62  6.502  100.0
13.77  6.429  38.1
23.26  3.825  37.1
23.55  3.777  85.5
23.66  3.760  78.0
23.91  3.722  56.5
24.00  3.708  76.8
33.59  2.668  84.7
33.92  2.643  53.5
34.21  2.621  43.1

a = 8.970 Å, b = 9.150 Å, c = 9.438 Å
α = 91.19°, β = 90.27°, γ = 90.43°
Atoms (fractional coordinates):
Na (0.000, 0.000, 0.000)
Na (0.010, 0.575, 0.598)
Na (0.433, 0.977, 0.553)
Na (0.447, 0.573, 0.018)
Na (0.486, 0.534, 0.533)
Na (0.503, 0.035, 0.074)
Na (0.963, 0.525, 0.031)
Na (0.981, 0.026, 0.564)
Al (0.217, 0.027, 0.276)
Al (0.219, 0.534, 0.308)
Al (0.454, 0.277, 0.796)
Al (0.748, 0.792, 0.564)
Al (0.753, 0.770, 0.025)
Al (0.962, 0.281, 0.789)
Si (0.211, 0.292, 0.046)
Si (0.217, 0.269, 0.538)
Si (0.483, 0.780, 0.281)
Si (0.704, 0.030, 0.809)
Si (0.710, 0.530, 0.774)
Si (0.963, 0.777, 0.293)
B (0.242, 0.820, 0.824)
B (0.705, 0.338, 0.278)
O (0.063, 0.258, 0.947)
O (0.065, 0.912, 0.231)
O (0.066, 0.298, 0.632)
O (0.067, 0.647, 0.358)
O (0.172, 0.433, 0.151)
O (0.184, 0.124, 0.436)
O (0.249, 0.144, 0.133)
O (0.255, 0.417, 0.451)
O (0.352, 0.338, 0.947)
O (0.355, 0.225, 0.642)
O (0.384, 0.628, 0.263)
O (0.386, 0.931, 0.296)
O (0.556, 0.126, 0.850)
O (0.567, 0.422, 0.749)
O (0.579, 0.793, 0.136)
O (0.593, 0.773, 0.423)
O (0.658, 0.928, 0.671)
O (0.673, 0.632, 0.913)
O (0.727, 0.609, 0.621)
O (0.742, 0.951, 0.959)
O (0.851, 0.126, 0.765)
O (0.854, 0.702, 0.175)
O (0.856, 0.853, 0.414)
O (0.868, 0.446, 0.807)
F (0.205, 0.911, 0.722)
F (0.254, 0.676, 0.808)
F (0.277, 0.880, 0.950)
F (0.365, 0.741, 0.550)
F (0.578, 0.282, 0.323)
F (0.747, 0.315, 0.145)
F (0.929, 0.806, 0.658)
F (0.953, 0.758, 0.940)


(4)
Starting from the GGA-PBE geometry in the Materials Project, the powder XRD pattern of Al6B5O15F3 was calculated for Cu Ka.
Kinematic intensities with the Lorentz-polarization factor, no thermal factor.

Principal peaks in the range 2θ = 10–90°, sorted by position:
2θ (°)  d [Å]  I_rel
20.54  4.325  100.0
23.21  3.832  44.9
31.60  2.831  28.1
33.46  2.678  40.9
40.65  2.219  61.5
42.29  2.137  27.4
43.57  2.077  55.2
45.96  1.975  37.1
53.90  1.701  44.1
66.51  1.406  54.0

a = 8.649 Å, b = 8.649 Å, c = 8.266 Å
α = 90.00°, β = 90.00°, γ = 120.00°
Atoms (fractional coordinates):
Al (0.014, 0.352, 0.075)
Al (0.014, 0.352, 0.425)
Al (0.337, 0.986, 0.075)
Al (0.337, 0.986, 0.425)
Al (0.352, 0.337, 0.575)
Al (0.352, 0.337, 0.925)
Al (0.648, 0.663, 0.075)
Al (0.648, 0.663, 0.425)
Al (0.663, 0.014, 0.575)
Al (0.663, 0.014, 0.925)
Al (0.986, 0.648, 0.575)
Al (0.986, 0.648, 0.925)
B (0.002, 0.233, 0.750)
B (0.230, 0.998, 0.750)
B (0.233, 0.230, 0.250)
B (0.333, 0.667, 0.552)
B (0.333, 0.667, 0.948)
B (0.667, 0.333, 0.052)
B (0.667, 0.333, 0.448)
B (0.767, 0.770, 0.750)
B (0.770, 0.002, 0.250)
B (0.998, 0.767, 0.250)
O (0.088, 0.804, 0.102)
O (0.088, 0.804, 0.398)
O (0.117, 0.815, 0.750)
O (0.151, 0.562, 0.553)
O (0.151, 0.562, 0.947)
O (0.185, 0.303, 0.750)
O (0.196, 0.284, 0.102)
O (0.196, 0.284, 0.398)
O (0.284, 0.088, 0.602)
O (0.284, 0.088, 0.898)
O (0.303, 0.117, 0.250)
O (0.411, 0.849, 0.553)
O (0.411, 0.849, 0.947)
O (0.438, 0.589, 0.553)
O (0.438, 0.589, 0.947)
O (0.562, 0.411, 0.053)
O (0.562, 0.411, 0.447)
O (0.589, 0.151, 0.053)
O (0.589, 0.151, 0.447)
O (0.697, 0.883, 0.750)
O (0.716, 0.912, 0.102)
O (0.716, 0.912, 0.398)
O (0.804, 0.716, 0.602)
O (0.804, 0.716, 0.898)
O (0.815, 0.697, 0.250)
O (0.849, 0.438, 0.053)
O (0.849, 0.438, 0.447)
O (0.883, 0.185, 0.250)
O (0.912, 0.196, 0.602)
O (0.912, 0.196, 0.898)
F (0.111, 0.498, 0.250)
F (0.388, 0.889, 0.250)
F (0.498, 0.388, 0.750)
F (0.502, 0.612, 0.250)
F (0.612, 0.111, 0.750)
F (0.889, 0.502, 0.750)


(5)
Starting from the GGA-PBE geometry in the Materials Project, the powder XRD pattern of AlFe2B2 was calculated for Cu Ka.
Kinematic intensities with the Lorentz-polarization factor, no thermal factor.

Principal peaks in the range 2θ = 10–90°, sorted by position:
2θ (°)  d [Å]  I_rel
31.24  2.863  34.1
32.52  2.753  24.8
39.47  2.283  100.0
45.14  2.008  89.2
45.72  1.984  74.4
49.68  1.835  20.1
51.18  1.785  48.3
76.42  1.246  26.9
78.94  1.213  22.9
82.03  1.175  23.7

a = 5.696 Å, b = 5.696 Å, c = 2.863 Å
α = 90.00°, β = 90.00°, γ = 150.34°
Atoms (fractional coordinates):
Al (0.000, 0.000, 0.000)
Fe (0.354, 0.646, 0.500)
Fe (0.646, 0.354, 0.500)
B (0.206, 0.794, 0.000)
B (0.794, 0.206, 0.000)


(6)
Starting from the GGA-PBE geometry in the Materials Project, the powder XRD pattern of KAlB4H16 was calculated for Cu Ka.
Kinematic intensities with the Lorentz-polarization factor, no thermal factor.

Principal peaks in the range 2θ = 10–90°, sorted by position:
2θ (°)  d [Å]  I_rel
17.78  4.988  100.0
21.55  4.124  37.7
22.23  3.998  29.9
25.31  3.519  11.7
28.30  3.153  10.9
32.96  2.718  32.1
34.35  2.611  24.2
36.01  2.494  10.9
40.60  2.222  12.5
43.90  2.062  10.4

a = 10.021 Å, b = 8.920 Å, c = 8.375 Å
α = 70.74°, β = 57.17°, γ = 52.09°
Atoms (fractional coordinates):
K (0.125, 0.125, 0.125)
K (0.875, 0.875, 0.875)
Al (0.375, 0.375, 0.375)
Al (0.625, 0.625, 0.625)
B (0.199, 0.356, 0.687)
B (0.258, 0.687, 0.356)
B (0.313, 0.742, 0.801)
B (0.356, 0.199, 0.258)
B (0.644, 0.801, 0.742)
B (0.687, 0.258, 0.199)
B (0.742, 0.313, 0.644)
B (0.801, 0.644, 0.313)
H (0.095, 0.792, 0.470)
H (0.131, 0.445, 0.573)
H (0.143, 0.470, 0.792)
H (0.165, 0.234, 0.754)
H (0.208, 0.905, 0.857)
H (0.234, 0.165, 0.346)
H (0.246, 0.654, 0.835)
H (0.248, 0.606, 0.270)
H (0.270, 0.376, 0.248)
H (0.346, 0.754, 0.234)
H (0.350, 0.573, 0.445)
H (0.376, 0.270, 0.606)
H (0.394, 0.752, 0.624)
H (0.427, 0.650, 0.869)
H (0.445, 0.131, 0.350)
H (0.470, 0.143, 0.095)
H (0.530, 0.857, 0.905)
H (0.555, 0.869, 0.650)
H (0.573, 0.350, 0.131)
H (0.606, 0.248, 0.376)
H (0.624, 0.730, 0.394)
H (0.650, 0.427, 0.555)
H (0.654, 0.246, 0.766)
H (0.730, 0.624, 0.752)
H (0.752, 0.394, 0.730)
H (0.754, 0.346, 0.165)
H (0.766, 0.835, 0.654)
H (0.792, 0.095, 0.143)
H (0.835, 0.766, 0.246)
H (0.857, 0.530, 0.208)
H (0.869, 0.555, 0.427)
H (0.905, 0.208, 0.530)